# 1
Starting from a GGA-PBE-relaxed structure, the powder diffractogram of Hg6P2BrCl2 was calculated for Cu Kα (weighted mean of Kα1 and Kα2).
No peak broadening, texture or thermal motion is included.

Top 10 peaks for 2θ = 10–90°, by angle:
| index | 2θ (°) | Rel. int. |
| --- | --- | --- |
| 0 0 1 | 11.46 | 40 |
| 1 0 -1 | 17.27 | 28 |
| 1 1 -1 | 20.64 | 97 |
| 1 0 1 | 21.91 | 65 |
| 1 1 -2 | 24.61 | 25 |
| 0 2 0 | 25.36 | 26 |
| 2 0 0 | 32.31 | 27 |
| 0 3 -2 | 34.65 | 100 |
| 1 -1 3 | 37.66 | 24 |
| -1 3 1 | 43.61 | 21 |

```
data_Hg6P2BrCl2
_chemical_formula_sum 'Hg6 P2 Br1 Cl2'
_symmetry_space_group_name_H-M 'P -1'
_symmetry_Int_Tables_number 2
_cell_length_a 5.7866
_cell_length_b 7.9817
_cell_length_c 8.7650
_cell_angle_alpha 114.69
_cell_angle_beta 98.83
_cell_angle_gamma 99.06
loop_
_symmetry_equiv_pos_as_xyz
'x,y,z'
'-x,-y,-z'
loop_
_atom_site_label
_atom_site_fract_x
_atom_site_fract_y
_atom_site_fract_z
_atom_site_occupancy
Hg1 0.1576 0.2219 0.3703 1
Hg2 0.2799 0.7558 0.1138 1
Hg3 0.2876 0.3896 0.0667 1
P1 0.1947 0.0542 0.0747 1
Br1 0.5000 0.0000 0.5000 1
Cl1 0.1540 0.4291 0.6613 1
```

=====

# 2
Starting from a GGA-PBE-relaxed structure, the powder diffractogram of Ce2Mn3Cu9P7 was calculated for Cu Kα (weighted mean of Kα1 and Kα2).
No peak broadening, texture or thermal motion is included.

Top 10 peaks for 2θ = 10–90°, by angle:
| index | 2θ (°) | Rel. int. |
| --- | --- | --- |
| 3 0 0 | 32.57 | 12 |
| 2 1 1 | 37.23 | 100 |
| 3 1 0 | 39.38 | 11 |
| 3 1 1 | 46.26 | 14 |
| 0 0 2 | 47.62 | 19 |
| 1 4 0 | 50.72 | 17 |
| 3 2 1 | 54.08 | 10 |
| 2 4 1 | 64.57 | 9 |
| 1 4 2 | 72.11 | 11 |
| 2 1 3 | 81.71 | 11 |

```
data_Ce2Mn3Cu9P7
_chemical_formula_sum 'Ce2 Mn3 Cu9 P7'
_symmetry_space_group_name_H-M 'P -6'
_symmetry_Int_Tables_number 174
_cell_length_a 9.5249
_cell_length_b 9.5249
_cell_length_c 3.8189
_cell_angle_alpha 90.00
_cell_angle_beta 90.00
_cell_angle_gamma 120.00
loop_
_symmetry_equiv_pos_as_xyz
'x,y,z'
'-x+y,-x,-z'
'-y,x-y,z'
'x,y,-z'
'-x+y,-x,z'
'-y,x-y,-z'
loop_
_atom_site_label
_atom_site_fract_x
_atom_site_fract_y
_atom_site_fract_z
_atom_site_occupancy
Ce1 0.0000 0.0000 0.0000 1
Ce2 0.3333 0.6667 0.5000 1
Mn1 0.5356 0.4134 0.5000 1
Cu1 0.0478 0.2947 0.5000 1
Cu2 0.0888 0.7098 0.0000 1
Cu3 0.3900 0.1693 0.0000 1
P1 0.0825 0.4595 0.0000 1
P2 0.2506 0.2122 0.5000 1
P3 0.6667 0.3333 0.0000 1
```

=====

# 3
Starting from a GGA-PBE-relaxed structure, the powder diffractogram of La3Tb7 was calculated for Cu Kα (weighted mean of Kα1 and Kα2).
No peak broadening, texture or thermal motion is included.

Top 10 peaks for 2θ = 10–90°, by angle:
| index | 2θ (°) | Rel. int. |
| --- | --- | --- |
| 5 1 0 | 30.25 | 100 |
| 0 2 0 | 34.94 | 34 |
| 4 0 2 | 35.31 | 17 |
| 6 2 -2 | 50.25 | 12 |
| 4 2 2 | 50.50 | 18 |
| 2 0 -4 | 50.59 | 6 |
| 5 3 0 | 59.78 | 29 |
| 9 1 2 | 60.27 | 14 |
| 2 2 -4 | 62.90 | 12 |
| 11 3 -2 | 81.79 | 6 |

```
data_La3Tb7
_chemical_formula_sum 'La6 Tb14'
_symmetry_space_group_name_H-M 'C 1 2/m 1'
_symmetry_Int_Tables_number 12
_cell_length_a 18.4726
_cell_length_b 5.1370
_cell_length_c 7.2175
_cell_angle_alpha 90.00
_cell_angle_beta 101.82
_cell_angle_gamma 90.00
loop_
_symmetry_equiv_pos_as_xyz
'x,y,z'
'-x,-y,-z'
'-x,y,-z'
'x,-y,z'
'x+1/2,y+1/2,z'
'-x+1/2,-y+1/2,-z'
'-x+1/2,y+1/2,-z'
'x+1/2,-y+1/2,z'
loop_
_atom_site_label
_atom_site_fract_x
_atom_site_fract_y
_atom_site_fract_z
_atom_site_occupancy
La1 0.0000 0.0000 0.0000 1
La2 0.1983 0.0000 0.6006 1
Tb1 0.0000 0.0000 0.5000 1
Tb2 0.0991 0.5000 0.3002 1
Tb3 0.1003 0.5000 0.8014 1
Tb4 0.2000 0.0000 0.1001 1
```

=====

# 4
Starting from a GGA-PBE-relaxed structure, the powder diffractogram of Cd2IrPb was calculated for Cu Kα (weighted mean of Kα1 and Kα2).
No peak broadening, texture or thermal motion is included.

Top 10 peaks for 2θ = 10–90°, by angle:
| index | 2θ (°) | Rel. int. |
| --- | --- | --- |
| 0 2 0 | 20.64 | 12 |
| 0 2 1 | 34.47 | 100 |
| 2 2 0 | 36.99 | 83 |
| 2 0 1 | 41.28 | 61 |
| 0 4 0 | 41.99 | 29 |
| 0 0 2 | 56.33 | 12 |
| 2 4 1 | 60.35 | 40 |
| 2 2 2 | 69.32 | 26 |
| 0 6 1 | 71.89 | 12 |
| 4 2 1 | 73.97 | 22 |

```
data_Cd2IrPb
_chemical_formula_sum 'Cd4 Ir2 Pb2'
_symmetry_space_group_name_H-M 'C m m m'
_symmetry_Int_Tables_number 65
_symmetry_space_group_name_Hall '-C 2 2'
_cell_length_a 5.8892
_cell_length_b 8.6064
_cell_length_c 3.2665
_cell_angle_alpha 90.00
_cell_angle_beta 90.00
_cell_angle_gamma 90.00
loop_
_atom_site_label
_atom_site_fract_x
_atom_site_fract_y
_atom_site_fract_z
_atom_site_occupancy
Cd1 0.2500 0.2500 0.0000 1
Ir1 0.0000 0.0000 0.5000 1
Pb1 0.0000 0.5000 0.5000 1
```

=====

# 5
Starting from a GGA-PBE-relaxed structure, the powder diffractogram of Gd2Hf was calculated for Cu Kα (weighted mean of Kα1 and Kα2).
No peak broadening, texture or thermal motion is included.

Top 10 peaks for 2θ = 10–90°, by angle:
| index | 2θ (°) | Rel. int. |
| --- | --- | --- |
| 0 0 2 | 11.68 | 6 |
| 1 0 3 | 32.01 | 100 |
| 0 0 6 | 35.56 | 16 |
| 1 1 0 | 37.89 | 33 |
| 1 1 6 | 52.93 | 21 |
| 2 0 0 | 54.66 | 12 |
| 1 0 9 | 61.64 | 10 |
| 2 1 3 | 64.76 | 27 |
| 2 0 6 | 66.92 | 10 |
| 2 1 9 | 86.93 | 8 |

```
data_Gd2Hf
_chemical_formula_sum 'Gd4 Hf2'
_symmetry_space_group_name_H-M 'I 4/m m m'
_symmetry_Int_Tables_number 139
_symmetry_space_group_name_Hall '-I 4 2'
_cell_length_a 3.3583
_cell_length_b 3.3583
_cell_length_c 15.1488
_cell_angle_alpha 90.00
_cell_angle_beta 90.00
_cell_angle_gamma 90.00
loop_
_atom_site_label
_atom_site_fract_x
_atom_site_fract_y
_atom_site_fract_z
_atom_site_occupancy
Gd1 0.0000 0.0000 0.1522 1
Hf1 0.0000 0.0000 0.5000 1
```

=====

# 6
Starting from a GGA-PBE-relaxed structure, the powder diffractogram of Ho3AgHg was calculated for Cu Kα (weighted mean of Kα1 and Kα2).
No peak broadening, texture or thermal motion is included.

Top 10 peaks for 2θ = 10–90°, by angle:
| index | 2θ (°) | Rel. int. |
| --- | --- | --- |
| 1 1 1 | 30.22 | 93 |
| 2 0 -3 | 30.88 | 48 |
| 1 1 -2 | 31.41 | 48 |
| 3 0 -2 | 33.34 | 58 |
| 2 1 0 | 33.67 | 100 |
| 2 0 2 | 34.86 | 38 |
| 1 0 -4 | 37.69 | 56 |
| 0 1 3 | 38.98 | 36 |
| 0 2 0 | 50.52 | 36 |
| 4 1 2 | 62.91 | 43 |

```
data_Ho3AgHg
_chemical_formula_sum 'Ho6 Ag2 Hg2'
_symmetry_space_group_name_H-M 'P 1 m 1'
_symmetry_Int_Tables_number 6
_cell_length_a 8.3427
_cell_length_b 3.6132
_cell_length_c 9.5553
_cell_angle_alpha 90.00
_cell_angle_beta 109.32
_cell_angle_gamma 90.00
loop_
_symmetry_equiv_pos_as_xyz
'x,y,z'
'x,-y,z'
loop_
_atom_site_label
_atom_site_fract_x
_atom_site_fract_y
_atom_site_fract_z
_atom_site_occupancy
Ho1 0.0000 0.0000 0.0000 1
Ho2 0.0110 0.0000 0.3795 1
Ho3 0.1887 0.5000 0.7730 1
Ho4 0.4474 0.0000 0.0843 1
Ho5 0.5638 0.0000 0.7724 1
Ho6 0.6207 0.5000 0.4242 1
Ag1 0.2339 0.5000 0.2205 1
Ag2 0.3247 0.5000 0.5306 1
Hg1 0.7621 0.5000 0.1211 1
Hg2 0.8675 0.0000 0.6538 1
```

=====

# 7
Starting from a GGA-PBE-relaxed structure, the powder diffractogram of Ho4AlInHg2 was calculated for Cu Kα (weighted mean of Kα1 and Kα2).
No peak broadening, texture or thermal motion is included.

Top 10 peaks for 2θ = 10–90°, by angle:
| index | 2θ (°) | Rel. int. |
| --- | --- | --- |
| 0 0 6 | 20.80 | 10 |
| 0 1 5 | 26.26 | 1 |
| 1 1 0 | 34.30 | 100 |
| 1 1 6 | 40.45 | 6 |
| 2 0 8 | 49.29 | 18 |
| 0 1 14 | 54.05 | 3 |
| 3 0 0 | 61.42 | 37 |
| 2 0 14 | 65.58 | 1 |
| 2 2 0 | 72.27 | 11 |
| 3 1 8 | 82.49 | 16 |

```
data_Ho4AlInHg2
_chemical_formula_sum 'Ho12 Al3 In3 Hg6'
_symmetry_space_group_name_H-M 'R -3 m'
_symmetry_Int_Tables_number 166
_symmetry_space_group_name_Hall '-R 3 2"'
_cell_length_a 5.2264
_cell_length_b 5.2264
_cell_length_c 25.6463
_cell_angle_alpha 90.00
_cell_angle_beta 90.00
_cell_angle_gamma 120.00
loop_
_atom_site_label
_atom_site_fract_x
_atom_site_fract_y
_atom_site_fract_z
_atom_site_occupancy
Ho1 0.0000 0.0000 0.1222 1
Ho2 0.0000 0.0000 0.3724 1
Al1 0.0000 0.0000 0.0000 1
In1 0.0000 0.0000 0.5000 1
Hg1 0.0000 0.0000 0.2502 1
```

=====

# 8
Starting from a GGA-PBE-relaxed structure, the powder diffractogram of Tb7PmSm3 was calculated for Cu Kα (weighted mean of Kα1 and Kα2).
No peak broadening, texture or thermal motion is included.

Top 10 peaks for 2θ = 10–90°, by angle:
| index | 2θ (°) | Rel. int. |
| --- | --- | --- |
| 0 1 1 | 17.66 | 4 |
| 2 0 1 | 30.84 | 100 |
| 0 2 2 | 35.76 | 51 |
| 2 2 0 | 51.47 | 36 |
| 2 2 3 | 61.21 | 43 |
| 4 0 2 | 64.25 | 12 |
| 0 4 4 | 75.76 | 6 |
| 4 2 1 | 83.97 | 13 |
| 2 0 7 | 84.06 | 4 |
| 2 4 2 | 86.71 | 17 |

```
data_Tb7PmSm3
_chemical_formula_sum 'Tb7 Pm1 Sm3'
_symmetry_space_group_name_H-M 'P 3 m 1'
_symmetry_Int_Tables_number 156
_cell_length_a 7.1053
_cell_length_b 7.1053
_cell_length_c 8.6915
_cell_angle_alpha 90.00
_cell_angle_beta 90.00
_cell_angle_gamma 120.00
loop_
_symmetry_equiv_pos_as_xyz
'x,y,z'
'-y,x-y,z'
'-x+y,-x,z'
'-y,-x,z'
'-x+y,y,z'
'x,x-y,z'
loop_
_atom_site_label
_atom_site_fract_x
_atom_site_fract_y
_atom_site_fract_z
_atom_site_occupancy
Tb1 0.0000 0.0000 0.0000 1
Tb2 0.1656 0.3313 0.6739 1
Tb3 0.5008 0.0016 0.0037 1
Pm1 0.6667 0.3333 0.6767 1
Sm1 0.3328 0.1664 0.3376 1
```

=====

Repeat the seventh record exactly.
Starting from a GGA-PBE-relaxed structure, the powder diffractogram of Ho4AlInHg2 was calculated for Cu Kα (weighted mean of Kα1 and Kα2).
No peak broadening, texture or thermal motion is included.

Top 10 peaks for 2θ = 10–90°, by angle:
| index | 2θ (°) | Rel. int. |
| --- | --- | --- |
| 0 0 6 | 20.80 | 10 |
| 0 1 5 | 26.26 | 1 |
| 1 1 0 | 34.30 | 100 |
| 1 1 6 | 40.45 | 6 |
| 2 0 8 | 49.29 | 18 |
| 0 1 14 | 54.05 | 3 |
| 3 0 0 | 61.42 | 37 |
| 2 0 14 | 65.58 | 1 |
| 2 2 0 | 72.27 | 11 |
| 3 1 8 | 82.49 | 16 |

```
data_Ho4AlInHg2
_chemical_formula_sum 'Ho12 Al3 In3 Hg6'
_symmetry_space_group_name_H-M 'R -3 m'
_symmetry_Int_Tables_number 166
_symmetry_space_group_name_Hall '-R 3 2"'
_cell_length_a 5.2264
_cell_length_b 5.2264
_cell_length_c 25.6463
_cell_angle_alpha 90.00
_cell_angle_beta 90.00
_cell_angle_gamma 120.00
loop_
_atom_site_label
_atom_site_fract_x
_atom_site_fract_y
_atom_site_fract_z
_atom_site_occupancy
Ho1 0.0000 0.0000 0.1222 1
Ho2 0.0000 0.0000 0.3724 1
Al1 0.0000 0.0000 0.0000 1
In1 0.0000 0.0000 0.5000 1
Hg1 0.0000 0.0000 0.2502 1
```